Record 1
Starting from a PBE-relaxed structure, the powder XRD pattern of Te2Rh was calculated for copper Kα.
Neutral-atom scattering factors, no anomalous dispersion.

Peak list (8 most intense, 10 to 80 degrees two-theta, by angle)
2θ/deg	Rel. int.	hkl
16.07	16	0 0 1
30.68	100	1 0 1
42.03	39	1 0 2
45.80	36	1 1 0
56.14	18	0 2 1
56.81	17	0 1 3
63.90	11	0 2 2
75.26	15	2 1 1

Crystal structure
```
data_Te2Rh
_chemical_formula_sum 'Te2 Rh1'
_space_group_name_H-M_alt 'P -3 m 1'
_space_group_IT_number 164
_space_group_name_Hall '-P 3 2"'
_cell_length_a 3.9624
_cell_length_b 3.9624
_cell_length_c 5.5158
_cell_angle_alpha 90.00
_cell_angle_beta 90.00
_cell_angle_gamma 120.00
loop_
_atom_site_label
_atom_site_type_symbol
_atom_site_fract_x
_atom_site_fract_y
_atom_site_fract_z
Te1 Te 0.3333 0.6667 0.2501
Rh1 Rh 0.0000 0.0000 0.5000
```



Record 2
Starting from a PBE-relaxed structure, the powder XRD pattern of Te10Rh7 was calculated for copper Kα.
Neutral-atom scattering factors, no anomalous dispersion.

Peak list (8 most intense, 10 to 80 degrees two-theta, by angle)
2θ/deg	Rel. int.	hkl
29.84	100	1 3 1
30.08	71	2 0 3
30.46	44	0 2 3
30.92	76	2 0 -2
40.64	59	0 4 1
45.04	52	3 3 4
45.35	49	3 3 -1
45.60	48	0 0 5

Crystal structure
```
data_Te10Rh7
_chemical_formula_sum 'Te20 Rh14'
_space_group_name_H-M_alt 'P -1'
_space_group_IT_number 2
_cell_length_a 8.864
_cell_length_b 9.073
_cell_length_c 10.567
_cell_angle_alpha 75.74
_cell_angle_beta 73.92
_cell_angle_gamma 77.97
loop_
_space_group_symop_operation_xyz
'x,y,z'
'-x,-y,-z'
loop_
_atom_site_label
_atom_site_type_symbol
_atom_site_fract_x
_atom_site_fract_y
_atom_site_fract_z
Te1 Te 0.005 0.273 0.293
Te2 Te 0.087 0.843 0.301
Te3 Te 0.115 0.356 0.899
Te4 Te 0.195 0.928 0.907
Te5 Te 0.204 0.474 0.493
Te6 Te 0.289 0.042 0.500
Te7 Te 0.314 0.557 0.099
Te8 Te 0.396 0.128 0.107
Te9 Te 0.402 0.670 0.693
Te10 Te 0.487 0.245 0.698
Rh1 Rh 0.044 0.567 0.294
Rh2 Rh 0.101 0.099 0.101
Rh3 Rh 0.156 0.634 0.910
Rh4 Rh 0.247 0.764 0.491
Rh5 Rh 0.301 0.300 0.300
Rh6 Rh 0.358 0.831 0.110
Rh7 Rh 0.442 0.969 0.694
```